# 1
Hf4BiAu: computed XRD peak list (a wavelength of 1.5418 Å), based on a cell relaxed with GGA-PBE.

Main lines, by intensity (2θ from 5° to 70°):
- d 2.503, I = 100, (1 0 3)
- d 2.485, I = 88, (1 2 1)
- d 2.549, I = 57, (2 0 0)
- d 2.470, I = 47, (0 2 2)
- d 1.774, I = 35, (2 2 2)
- d 1.436, I = 24, (0 0 6)
- d 1.463, I = 19, (3 0 3)
- d 1.459, I = 17, (3 2 1)
- d 1.444, I = 13, (2 2 4)
- d 1.753, I = 13, (0 2 4)
- d 3.015, I = 12, (0 2 0)
- d 1.507, I = 11, (0 4 0)

Crystal structure
```
data_Hf4BiAu
_chemical_formula_sum 'Hf8 Bi2 Au2'
_space_group_name_H-M_alt 'P m m n'
_space_group_IT_number 59
_cell_length_a 5.098
_cell_length_b 6.029
_cell_length_c 8.617
_cell_angle_alpha 90.00
_cell_angle_beta 90.00
_cell_angle_gamma 90.00
loop_
_space_group_symop_operation_xyz
'x,y,z'
'-x,-y,-z'
'-x+1/2,-y+1/2,z'
'x+1/2,y+1/2,-z'
'x+1/2,-y,-z'
'-x+1/2,y,z'
'-x,y+1/2,-z'
'x,-y+1/2,z'
loop_
_atom_site_label
_atom_site_fract_x
_atom_site_fract_y
_atom_site_fract_z
Hf1 0.250 0.006 0.242
Hf2 0.250 0.750 0.585
Hf3 0.250 0.750 0.925
Bi1 0.250 0.250 0.602
Au1 0.250 0.250 0.943
```


# 2
Hf6Bi3Au: computed XRD peak list (a wavelength of 1.5418 Å), based on a cell relaxed with GGA-PBE.

Main lines, by intensity (2θ from 5° to 70°):
- d 2.573, I = 100, (3 3 1)
- d 2.621, I = 44, (2 2 2)
- d 2.383, I = 33, (0 6 0)
- d 2.691, I = 22, (2 4 1)
- d 2.141, I = 21, (0 2 3)
- d 2.370, I = 18, (3 1 2)
- d 2.212, I = 16, (2 4 2)
- d 3.122, I = 16, (1 1 2)
- d 2.989, I = 15, (3 1 1)
- d 3.638, I = 14, (1 3 1)
- d 1.509, I = 14, (2 8 2)
- d 1.503, I = 12, (3 1 4)

Crystal structure
```
data_Hf6Bi3Au
_chemical_formula_sum 'Hf24 Bi12 Au4'
_space_group_name_H-M_alt 'C m c 21'
_space_group_IT_number 36
_cell_length_a 10.293
_cell_length_b 14.295
_cell_length_c 6.732
_cell_angle_alpha 90.00
_cell_angle_beta 90.00
_cell_angle_gamma 90.00
loop_
_space_group_symop_operation_xyz
'x,y,z'
'-x,-y,z+1/2'
'-x,y,z'
'x,-y,z+1/2'
'x+1/2,y+1/2,z'
'-x+1/2,-y+1/2,z+1/2'
'-x+1/2,y+1/2,z'
'x+1/2,-y+1/2,z+1/2'
loop_
_atom_site_label
_atom_site_fract_x
_atom_site_fract_y
_atom_site_fract_z
Hf1 0.000 0.109 0.000
Hf2 0.000 0.241 0.552
Hf3 0.162 0.414 0.480
Hf4 0.210 0.263 0.869
Bi1 0.000 0.420 0.848
Bi2 0.170 0.072 0.617
Au1 0.000 0.285 0.174
```


# 3
Hg3Bi4Au4: computed XRD peak list (a wavelength of 1.5418 Å), based on a cell relaxed with GGA-PBE.

Main lines, by intensity (2θ from 5° to 70°):
- d 2.539, I = 100, (7 1 -1)
- d 2.380, I = 55, (7 1 1)
- d 2.553, I = 52, (0 2 0)
- d 3.572, I = 32, (4 0 1)
- d 2.344, I = 27, (0 0 2)
- d 1.727, I = 21, (0 2 2)
- d 1.471, I = 19, (7 3 -1)
- d 3.390, I = 18, (1 1 1)
- d 2.103, I = 16, (3 1 -2)
- d 4.327, I = 16, (3 1 0)
- d 2.077, I = 15, (4 2 1)
- d 2.038, I = 14, (11 1 0)

Crystal structure
```
data_Hg3Bi4Au4
_chemical_formula_sum 'Hg6 Bi8 Au8'
_space_group_name_H-M_alt 'C 1 2/m 1'
_space_group_IT_number 12
_cell_length_a 24.541
_cell_length_b 5.107
_cell_length_c 4.707
_cell_angle_alpha 90.00
_cell_angle_beta 95.02
_cell_angle_gamma 90.00
loop_
_space_group_symop_operation_xyz
'x,y,z'
'-x,-y,-z'
'-x,y,-z'
'x,-y,z'
'x+1/2,y+1/2,z'
'-x+1/2,-y+1/2,-z'
'-x+1/2,y+1/2,-z'
'x+1/2,-y+1/2,z'
loop_
_atom_site_label
_atom_site_fract_x
_atom_site_fract_y
_atom_site_fract_z
Hg1 0.000 0.000 0.000
Hg2 0.108 0.500 0.276
Bi1 0.106 0.000 0.711
Bi2 0.245 0.500 0.243
Au1 0.037 0.500 0.757
Au2 0.179 0.000 0.229
```


# 4
K2Hg6BiAu: computed XRD peak list (a wavelength of 1.5418 Å), based on a cell relaxed with GGA-PBE.

Main lines, by intensity (2θ from 5° to 70°):
- d 3.169, I = 100, (0 2 2)
- d 5.822, I = 81, (1 0 1)
- d 2.523, I = 75, (3 1 1)
- d 4.975, I = 49, (0 2 0)
- d 2.050, I = 47, (3 3 1)
- d 2.487, I = 43, (0 4 0)
- d 2.794, I = 26, (2 1 2)
- d 2.287, I = 26, (3 0 2)
- d 2.304, I = 25, (1 2 3)
- d 2.399, I = 21, (0 2 3)
- d 2.188, I = 19, (2 3 2)
- d 1.682, I = 18, (2 4 3)

Crystal structure
```
data_K2Hg6BiAu
_chemical_formula_sum 'K4 Hg12 Bi2 Au2'
_space_group_name_H-M_alt 'P m m n'
_space_group_IT_number 59
_cell_length_a 8.253
_cell_length_b 9.949
_cell_length_c 8.215
_cell_angle_alpha 90.00
_cell_angle_beta 90.00
_cell_angle_gamma 90.00
loop_
_space_group_symop_operation_xyz
'x,y,z'
'-x,-y,-z'
'-x+1/2,-y+1/2,z'
'x+1/2,y+1/2,-z'
'x+1/2,-y,-z'
'-x+1/2,y,z'
'-x,y+1/2,-z'
'x,-y+1/2,z'
loop_
_atom_site_label
_atom_site_fract_x
_atom_site_fract_y
_atom_site_fract_z
K1 0.250 0.034 0.243
Hg1 0.069 0.250 0.886
Hg2 0.074 0.750 0.511
Hg3 0.250 0.518 0.699
Bi1 0.250 0.750 0.951
Au1 0.250 0.250 0.570
```


# 5
HgBi2PbAu4: computed XRD peak list (a wavelength of 1.5418 Å), based on a cell relaxed with GGA-PBE.

Main lines, by intensity (2θ from 5° to 70°):
- d 2.855, I = 100, (2 0 2)
- d 2.049, I = 79, (2 4 2)
- d 2.941, I = 54, (0 4 0)
- d 2.423, I = 32, (4 0 0)
- d 1.870, I = 30, (4 4 0)
- d 1.470, I = 21, (6 0 2)
- d 1.515, I = 15, (0 4 4)
- d 1.428, I = 13, (4 0 4)
- d 1.767, I = 13, (0 0 4)

Crystal structure
```
data_HgBi2PbAu4
_chemical_formula_sum 'Hg4 Bi8 Pb4 Au16'
_space_group_name_H-M_alt 'F m m 2'
_space_group_IT_number 42
_space_group_name_Hall 'F 2 -2'
_cell_length_a 9.692
_cell_length_b 11.765
_cell_length_c 7.068
_cell_angle_alpha 90.00
_cell_angle_beta 90.00
_cell_angle_gamma 90.00
loop_
_atom_site_label
_atom_site_fract_x
_atom_site_fract_y
_atom_site_fract_z
Hg1 0.000 0.000 0.000
Bi1 0.250 0.250 0.251
Pb1 0.000 0.000 0.500
Au1 0.000 0.246 0.001
Au2 0.250 0.000 0.250
```